Entry 1:
# Ta5Ge3
Theoretical powder XRD pattern, copper Kα. Input: a crystal structure in the Materials Project, relaxed with GGA-PBE.
Kinematic intensities with the Lorentz-polarization factor, no thermal factor.

Principal peaks in the range 5° ≤ 2θ ≤ 70°, most intense first:
| (hkl) | 2θ/deg | I (rel.) |
| --- | --- | --- |
| 2 1 1 | 39.73 | 100 |
| 1 1 2 | 41.19 | 73 |
| 2 1 0 | 35.84 | 45 |
| 3 0 0 | 40.84 | 34 |
| 1 0 2 | 36.23 | 33 |
| 2 1 3 | 64.12 | 25 |
| 2 2 2 | 59.40 | 22 |
| 4 0 2 | 66.37 | 20 |
| 4 1 0 | 64.41 | 17 |
| 2 0 0 | 26.90 | 17 |

```
data_Ta5Ge3
_chemical_formula_sum 'Ta10 Ge6'
_cell_length_a 7.6546
_cell_length_b 7.6546
_cell_length_c 5.3466
_cell_angle_alpha 90.00
_cell_angle_beta 90.00
_cell_angle_gamma 120.00
_space_group_name_H-M_alt 'P 63/m c m'
_space_group_IT_number 193
_space_group_name_Hall '-P 6c 2'
loop_
_atom_site_label
_atom_site_type_symbol
_atom_site_fract_x
_atom_site_fract_y
_atom_site_fract_z
_atom_site_occupancy
Ta1 Ta 0.0000 0.2375 0.2500 1
Ta2 Ta 0.3333 0.6667 0.0000 1
Ge1 Ge 0.0000 0.3970 0.7500 1
```



Entry 2:
# U2Ta3Ge4
Theoretical powder XRD pattern, copper Kα. Input: a crystal structure in the Materials Project, relaxed with GGA-PBE.
Kinematic intensities with the Lorentz-polarization factor, no thermal factor.

Principal peaks in the range 5° ≤ 2θ ≤ 70°, most intense first:
| (hkl) | 2θ/deg | I (rel.) |
| --- | --- | --- |
| 1 3 2 | 34.62 | 100 |
| 2 3 1 | 34.82 | 90 |
| 3 0 1 | 40.50 | 54 |
| 1 1 3 | 40.62 | 39 |
| 0 4 2 | 36.82 | 34 |
| 3 4 3 | 62.13 | 30 |
| 2 4 1 | 39.24 | 28 |
| 0 6 0 | 40.40 | 26 |
| 1 1 2 | 28.85 | 23 |
| 2 0 2 | 35.84 | 23 |

```
data_U2Ta3Ge4
_chemical_formula_sum 'U8 Ta12 Ge16'
_cell_length_a 7.0332
_cell_length_b 13.3954
_cell_length_c 7.1328
_cell_angle_alpha 90.00
_cell_angle_beta 90.00
_cell_angle_gamma 90.00
_space_group_name_H-M_alt 'P n m a'
_space_group_IT_number 62
_space_group_name_Hall '-P 2ac 2n'
loop_
_atom_site_label
_atom_site_type_symbol
_atom_site_fract_x
_atom_site_fract_y
_atom_site_fract_z
_atom_site_occupancy
U1 U 0.0077 0.0907 0.1702 1
Ta1 Ta 0.1602 0.6246 0.3349 1
Ta2 Ta 0.1679 0.2500 0.5027 1
Ge1 Ge 0.0397 0.2500 0.8786 1
Ge2 Ge 0.1753 0.0428 0.5430 1
Ge3 Ge 0.1919 0.7500 0.6445 1
```



Entry 3:
# U2Ta3Ge4
Theoretical powder XRD pattern, copper Kα. Input: a crystal structure in the Materials Project, relaxed with GGA-PBE.
Kinematic intensities with the Lorentz-polarization factor, no thermal factor.

Principal peaks in the range 5° ≤ 2θ ≤ 70°, most intense first:
| (hkl) | 2θ/deg | I (rel.) |
| --- | --- | --- |
| 1 3 2 | 34.10 | 100 |
| 2 4 1 | 38.69 | 75 |
| 1 1 3 | 40.18 | 66 |
| 2 0 1 | 28.23 | 54 |
| 2 3 1 | 34.46 | 52 |
| 0 4 2 | 36.09 | 49 |
| 3 0 1 | 40.45 | 47 |
| 1 5 1 | 37.25 | 38 |
| 3 4 3 | 61.46 | 38 |
| 1 1 2 | 28.56 | 37 |

```
data_U2Ta3Ge4
_chemical_formula_sum 'U8 Ta12 Ge16'
_cell_length_a 7.0343
_cell_length_b 13.7523
_cell_length_c 7.2129
_cell_angle_alpha 90.00
_cell_angle_beta 90.00
_cell_angle_gamma 90.00
_space_group_name_H-M_alt 'P n m a'
_space_group_IT_number 62
_space_group_name_Hall '-P 2ac 2n'
loop_
_atom_site_label
_atom_site_type_symbol
_atom_site_fract_x
_atom_site_fract_y
_atom_site_fract_z
_atom_site_occupancy
U1 U 0.1367 0.1243 0.1583 1
Ta1 Ta 0.0371 0.5937 0.3188 1
Ta2 Ta 0.1777 0.7500 0.9962 1
Ge1 Ge 0.0468 0.7500 0.5761 1
Ge2 Ge 0.1744 0.2500 0.8315 1
Ge3 Ge 0.2192 0.5489 0.9871 1
```



Entry 4:
# TbGe
Theoretical powder XRD pattern, copper Kα. Input: a crystal structure in the Materials Project, relaxed with GGA-PBE.
Kinematic intensities with the Lorentz-polarization factor, no thermal factor.

Principal peaks in the range 5° ≤ 2θ ≤ 70°, most intense first:
| (hkl) | 2θ/deg | I (rel.) |
| --- | --- | --- |
| 1 1 1 | 31.68 | 100 |
| 1 3 1 | 39.69 | 53 |
| 1 3 0 | 32.34 | 33 |
| 0 4 0 | 33.18 | 32 |
| 2 0 0 | 41.71 | 25 |
| 0 2 1 | 27.89 | 22 |
| 0 0 2 | 45.70 | 20 |
| 2 4 0 | 54.31 | 16 |
| 2 0 2 | 63.58 | 15 |
| 0 4 1 | 40.40 | 13 |

```
data_TbGe
_chemical_formula_sum 'Tb4 Ge4'
_cell_length_a 4.3306
_cell_length_b 10.7992
_cell_length_c 3.9704
_cell_angle_alpha 90.00
_cell_angle_beta 90.00
_cell_angle_gamma 90.00
_space_group_name_H-M_alt 'C m c m'
_space_group_IT_number 63
_space_group_name_Hall '-C 2c 2'
loop_
_atom_site_label
_atom_site_type_symbol
_atom_site_fract_x
_atom_site_fract_y
_atom_site_fract_z
_atom_site_occupancy
Tb1 Tb 0.0000 0.1378 0.2500 1
Ge1 Ge 0.0000 0.4146 0.2500 1
```



Entry 5:
# Tb2Ge3
Theoretical powder XRD pattern, copper Kα. Input: a crystal structure in the Materials Project, relaxed with GGA-PBE.
Kinematic intensities with the Lorentz-polarization factor, no thermal factor.

Principal peaks in the range 5° ≤ 2θ ≤ 70°, most intense first:
| (hkl) | 2θ/deg | I (rel.) |
| --- | --- | --- |
| 1 0 2 | 34.41 | 100 |
| 1 1 0 | 40.74 | 51 |
| 1 0 0 | 23.19 | 34 |
| 2 0 2 | 54.36 | 27 |
| 1 1 4 | 67.62 | 20 |
| 1 0 1 | 26.41 | 11 |
| 0 0 4 | 51.46 | 7 |
| 2 0 0 | 47.40 | 5 |
| 1 1 3 | 56.93 | 5 |
| 2 1 0 | 64.24 | 4 |

```
data_Tb2Ge3
_chemical_formula_sum 'Tb2 Ge3'
_cell_length_a 4.4294
_cell_length_b 4.4294
_cell_length_c 7.1027
_cell_angle_alpha 90.00
_cell_angle_beta 90.00
_cell_angle_gamma 120.00
_space_group_name_H-M_alt 'P -6 m 2'
_space_group_IT_number 187
_space_group_name_Hall 'P -6 2'
loop_
_atom_site_label
_atom_site_type_symbol
_atom_site_fract_x
_atom_site_fract_y
_atom_site_fract_z
_atom_site_occupancy
Tb1 Tb 0.0000 0.0000 0.2306 1
Ge1 Ge 0.3333 0.6667 0.5000 1
Ge2 Ge 0.6667 0.3333 0.0000 1
Ge3 Ge 0.6667 0.3333 0.5000 1
```



Entry 6:
# TbGe5
Theoretical powder XRD pattern, copper Kα. Input: a crystal structure in the Materials Project, relaxed with GGA-PBE.
Kinematic intensities with the Lorentz-polarization factor, no thermal factor.

Principal peaks in the range 5° ≤ 2θ ≤ 70°, most intense first:
| (hkl) | 2θ/deg | I (rel.) |
| --- | --- | --- |
| 1 0 3 | 35.38 | 100 |
| 1 2 1 | 37.97 | 75 |
| 0 2 2 | 34.27 | 52 |
| 2 0 0 | 45.49 | 25 |
| 2 2 2 | 58.17 | 22 |
| 1 2 5 | 60.32 | 21 |
| 0 2 4 | 47.17 | 19 |
| 1 1 0 | 26.61 | 19 |
| 0 0 6 | 55.93 | 18 |
| 0 1 3 | 30.80 | 13 |

```
data_TbGe5
_chemical_formula_sum 'Tb2 Ge10'
_cell_length_a 3.9876
_cell_length_b 6.1736
_cell_length_c 9.8662
_cell_angle_alpha 90.00
_cell_angle_beta 90.00
_cell_angle_gamma 90.00
_space_group_name_H-M_alt 'I m m m'
_space_group_IT_number 71
_space_group_name_Hall '-I 2 2'
loop_
_atom_site_label
_atom_site_type_symbol
_atom_site_fract_x
_atom_site_fract_y
_atom_site_fract_z
_atom_site_occupancy
Tb1 Tb 0.0000 0.0000 0.0000 1
Ge1 Ge 0.0000 0.2082 0.3314 1
Ge2 Ge 0.0000 0.5000 0.0000 1
```



Entry 7:
# TbGe2
Theoretical powder XRD pattern, copper Kα. Input: a crystal structure in the Materials Project, relaxed with GGA-PBE.
Kinematic intensities with the Lorentz-polarization factor, no thermal factor.

Principal peaks in the range 5° ≤ 2θ ≤ 70°, most intense first:
| (hkl) | 2θ/deg | I (rel.) |
| --- | --- | --- |
| 1 5 1 | 34.28 | 100 |
| 2 0 0 | 43.70 | 24 |
| 1 3 1 | 32.27 | 22 |
| 0 0 2 | 45.39 | 22 |
| 0 10 1 | 36.36 | 21 |
| 1 7 1 | 37.12 | 20 |
| 0 14 1 | 46.38 | 18 |
| 1 9 0 | 33.56 | 17 |
| 2 0 2 | 64.83 | 15 |
| 1 7 0 | 29.33 | 13 |

```
data_TbGe2
_chemical_formula_sum 'Tb8 Ge16'
_cell_length_a 4.1430
_cell_length_b 31.4380
_cell_length_c 3.9965
_cell_angle_alpha 90.00
_cell_angle_beta 90.00
_cell_angle_gamma 90.00
_space_group_name_H-M_alt 'C m m m'
_space_group_IT_number 65
_space_group_name_Hall '-C 2 2'
loop_
_atom_site_label
_atom_site_type_symbol
_atom_site_fract_x
_atom_site_fract_y
_atom_site_fract_z
_atom_site_occupancy
Tb1 Tb 0.0000 0.0707 0.0000 1
Tb2 Tb 0.0000 0.1872 0.5000 1
Ge1 Ge 0.0000 0.0000 0.5000 1
Ge2 Ge 0.0000 0.2725 0.0000 1
Ge3 Ge 0.0000 0.3529 0.0000 1
Ge4 Ge 0.0000 0.4048 0.5000 1
Ge5 Ge 0.0000 0.5000 0.0000 1
```



Entry 8:
# Tb3Ge4
Theoretical powder XRD pattern, copper Kα. Input: a crystal structure in the Materials Project, relaxed with GGA-PBE.
Kinematic intensities with the Lorentz-polarization factor, no thermal factor.

Principal peaks in the range 5° ≤ 2θ ≤ 70°, most intense first:
| (hkl) | 2θ/deg | I (rel.) |
| --- | --- | --- |
| 1 1 4 | 34.26 | 100 |
| 1 3 0 | 33.25 | 79 |
| 0 2 4 | 29.92 | 49 |
| 0 4 1 | 33.93 | 38 |
| 0 4 4 | 41.98 | 37 |
| 2 0 0 | 44.30 | 35 |
| 1 3 3 | 38.33 | 33 |
| 0 0 6 | 37.58 | 25 |
| 1 1 2 | 26.41 | 25 |
| 0 2 3 | 24.91 | 20 |

```
data_Tb3Ge4
_chemical_formula_sum 'Tb12 Ge16'
_cell_length_a 4.0898
_cell_length_b 10.7475
_cell_length_c 14.3623
_cell_angle_alpha 90.00
_cell_angle_beta 90.00
_cell_angle_gamma 90.00
_space_group_name_H-M_alt 'C m c m'
_space_group_IT_number 63
_space_group_name_Hall '-C 2c 2'
loop_
_atom_site_label
_atom_site_type_symbol
_atom_site_fract_x
_atom_site_fract_y
_atom_site_fract_z
_atom_site_occupancy
Tb1 Tb 0.0000 0.0480 0.2500 1
Tb2 Tb 0.0000 0.3320 0.0968 1
Ge1 Ge 0.0000 0.0000 0.0000 1
Ge2 Ge 0.0000 0.2242 0.7500 1
Ge3 Ge 0.0000 0.3786 0.6087 1
```



Entry 9:
# Tb11Ge10
Theoretical powder XRD pattern, copper Kα. Input: a crystal structure in the Materials Project, relaxed with GGA-PBE.
Kinematic intensities with the Lorentz-polarization factor, no thermal factor.

Principal peaks in the range 5° ≤ 2θ ≤ 70°, most intense first:
| (hkl) | 2θ/deg | I (rel.) |
| --- | --- | --- |
| 4 0 0 | 32.60 | 100 |
| 3 2 3 | 33.62 | 94 |
| 3 3 0 | 34.65 | 43 |
| 4 0 2 | 34.42 | 40 |
| 3 0 5 | 36.58 | 31 |
| 6 0 0 | 49.81 | 22 |
| 3 3 2 | 36.38 | 18 |
| 5 2 5 | 52.70 | 17 |
| 7 2 5 | 68.31 | 15 |
| 3 0 1 | 24.91 | 15 |

```
data_Tb11Ge10
_chemical_formula_sum 'Tb44 Ge40'
_cell_length_a 10.9837
_cell_length_b 10.9837
_cell_length_c 16.5685
_cell_angle_alpha 90.00
_cell_angle_beta 90.00
_cell_angle_gamma 90.00
_space_group_name_H-M_alt 'I 4/m m m'
_space_group_IT_number 139
_space_group_name_Hall '-I 4 2'
loop_
_atom_site_label
_atom_site_type_symbol
_atom_site_fract_x
_atom_site_fract_y
_atom_site_fract_z
_atom_site_occupancy
Tb1 Tb 0.0000 0.0000 0.1599 1
Tb2 Tb 0.0000 0.2523 0.3096 1
Tb3 Tb 0.0000 0.3237 0.1024 1
Tb4 Tb 0.1777 0.1777 0.5000 1
Ge1 Ge 0.0000 0.0000 0.3871 1
Ge2 Ge 0.0000 0.3612 0.5000 1
Ge3 Ge 0.0000 0.5000 0.2500 1
Ge4 Ge 0.1194 0.1194 0.0000 1
Ge5 Ge 0.2101 0.2101 0.1816 1
```



Entry 10:
# TbGe2
Theoretical powder XRD pattern, copper Kα. Input: a crystal structure in the Materials Project, relaxed with GGA-PBE.
Kinematic intensities with the Lorentz-polarization factor, no thermal factor.

Principal peaks in the range 5° ≤ 2θ ≤ 70°, most intense first:
| (hkl) | 2θ/deg | I (rel.) |
| --- | --- | --- |
| 1 1 2 | 33.51 | 100 |
| 1 0 5 | 34.87 | 57 |
| 1 0 7 | 43.96 | 37 |
| 2 0 0 | 45.49 | 35 |
| 1 0 3 | 27.44 | 29 |
| 2 1 5 | 58.57 | 26 |
| 2 1 7 | 65.11 | 23 |
| 0 0 4 | 21.11 | 14 |
| 2 2 0 | 66.29 | 11 |
| 1 1 10 | 64.45 | 9 |

```
data_TbGe2
_chemical_formula_sum 'Tb4 Ge8'
_cell_length_a 3.9879
_cell_length_b 3.9879
_cell_length_c 16.8373
_cell_angle_alpha 90.00
_cell_angle_beta 90.00
_cell_angle_gamma 90.00
_space_group_name_H-M_alt 'I 41/a m d'
_space_group_IT_number 141
loop_
_space_group_symop_operation_xyz
'x,y,z'
'-x,-y,-z'
'-y+1/4,x+3/4,z+1/4'
'y+1/4,-x+3/4,-z+1/4'
'-x+1/2,-y,z+1/2'
'x+1/2,y,-z+1/2'
'y+1/4,-x+1/4,z+3/4'
'-y+1/4,x+1/4,-z+3/4'
'x,-y,-z'
'-x,y,z'
'-y+1/4,-x+1/4,-z+3/4'
'y+1/4,x+1/4,z+3/4'
'-x+1/2,y,-z+1/2'
'x+1/2,-y,z+1/2'
'y+1/4,x+3/4,-z+1/4'
'-y+1/4,-x+3/4,z+1/4'
'x+1/2,y+1/2,z+1/2'
'-x+1/2,-y+1/2,-z+1/2'
'-y+3/4,x+1/4,z+3/4'
'y+3/4,-x+1/4,-z+3/4'
'-x,-y+1/2,z'
'x,y+1/2,-z'
'y+3/4,-x+3/4,z+1/4'
'-y+3/4,x+3/4,-z+1/4'
'x+1/2,-y+1/2,-z+1/2'
'-x+1/2,y+1/2,z+1/2'
'-y+3/4,-x+3/4,-z+1/4'
'y+3/4,x+3/4,z+1/4'
'-x,y+1/2,-z'
'x,-y+1/2,z'
'y+3/4,x+1/4,-z+3/4'
'-y+3/4,-x+1/4,z+3/4'
loop_
_atom_site_label
_atom_site_type_symbol
_atom_site_fract_x
_atom_site_fract_y
_atom_site_fract_z
_atom_site_occupancy
Tb1 Tb 0.0000 0.2500 0.3750 1
Ge1 Ge 0.0000 0.2500 0.7972 1
```



Entry 11:
# Tb2TiGe2
Theoretical powder XRD pattern, copper Kα. Input: a crystal structure in the Materials Project, relaxed with GGA-PBE.
Kinematic intensities with the Lorentz-polarization factor, no thermal factor.

Principal peaks in the range 5° ≤ 2θ ≤ 70°, most intense first:
| (hkl) | 2θ/deg | I (rel.) |
| --- | --- | --- |
| 1 0 0 | 29.76 | 100 |
| 0 0 1 | 6.17 | 71 |
| 1 0 5 | 43.69 | 44 |
| 1 1 0 | 42.59 | 37 |
| 1 0 4 | 39.17 | 35 |
| 0 0 4 | 24.88 | 28 |
| 0 0 5 | 31.24 | 28 |
| 1 1 5 | 53.76 | 24 |
| 1 1 4 | 49.95 | 17 |
| 2 0 0 | 61.81 | 12 |

```
data_Tb2TiGe2
_chemical_formula_sum 'Tb2 Ti1 Ge2'
_cell_length_a 3.0019
_cell_length_b 3.0019
_cell_length_c 14.3174
_cell_angle_alpha 90.00
_cell_angle_beta 90.00
_cell_angle_gamma 90.00
_space_group_name_H-M_alt 'P 4/m m m'
_space_group_IT_number 123
_space_group_name_Hall '-P 4 2'
loop_
_atom_site_label
_atom_site_type_symbol
_atom_site_fract_x
_atom_site_fract_y
_atom_site_fract_z
_atom_site_occupancy
Tb1 Tb 0.0000 0.0000 0.1208 1
Ti1 Ti 0.0000 0.0000 0.5000 1
Ge1 Ge 0.0000 0.0000 0.3239 1
```



Entry 12:
# TbTiGe
Theoretical powder XRD pattern, copper Kα. Input: a crystal structure in the Materials Project, relaxed with GGA-PBE.
Kinematic intensities with the Lorentz-polarization factor, no thermal factor.

Principal peaks in the range 5° ≤ 2θ ≤ 70°, most intense first:
| (hkl) | 2θ/deg | I (rel.) |
| --- | --- | --- |
| 1 0 5 | 36.39 | 100 |
| 1 1 0 | 31.12 | 94 |
| 1 1 4 | 38.98 | 90 |
| 1 1 2 | 33.23 | 85 |
| 1 0 3 | 27.90 | 81 |
| 2 0 0 | 44.58 | 79 |
| 2 1 5 | 58.85 | 49 |
| 1 0 9 | 58.04 | 39 |
| 0 0 6 | 34.64 | 37 |
| 2 0 6 | 57.65 | 33 |

```
data_TbTiGe
_chemical_formula_sum 'Tb4 Ti4 Ge4'
_cell_length_a 4.0649
_cell_length_b 4.0649
_cell_length_c 15.5386
_cell_angle_alpha 90.00
_cell_angle_beta 90.00
_cell_angle_gamma 90.00
_space_group_name_H-M_alt 'I 4/m m m'
_space_group_IT_number 139
_space_group_name_Hall '-I 4 2'
loop_
_atom_site_label
_atom_site_type_symbol
_atom_site_fract_x
_atom_site_fract_y
_atom_site_fract_z
_atom_site_occupancy
Tb1 Tb 0.0000 0.0000 0.1741 1
Ti1 Ti 0.0000 0.5000 0.0000 1
Ge1 Ge 0.0000 0.0000 0.3782 1
```